Entry 1:
CaPrS2: computed powder X-ray diffraction pattern (CuKα), based on DFT lattice parameters and positions (GGA-PBE).

Peak list (10 most intense, 2θ from 10° to 80°, in order of rising 2θ)
two_theta, intensity
12.37, 40.0
24.88, 12.7
25.95, 58.0
28.84, 53.3
36.26, 100.0
45.78, 33.3
46.35, 12.9
59.75, 22.3
70.96, 17.0
78.39, 19.9

Atomic structure:
Cell lengths 3.9643, 3.9643, 7.1569 Å; angles 90.00, 90.00, 120.00 degrees
Positions (direct):
Ca 0.0000 0.0000 0.0000
Pr 0.0000 0.0000 0.5000
S 0.3333 0.6667 0.2413
S 0.6667 0.3333 0.7587



Entry 2:
Tb2PmNdY2: computed powder X-ray diffraction pattern (CuKα), based on DFT lattice parameters and positions (GGA-PBE).

Peak list (10 most intense, 2θ from 10° to 80°, in order of rising 2θ)
two_theta, intensity
26.62, 30.9
28.50, 100.0
29.39, 28.4
30.06, 76.7
30.21, 66.0
31.09, 41.1
33.49, 52.0
35.76, 33.5
40.72, 56.6
49.11, 24.8

Atomic structure:
Cell lengths 6.6895, 17.8340, 3.4107 Å; angles 90.00, 90.00, 90.00 degrees
Positions (direct):
Tb 0.2328 0.1797 0.0000
Tb 0.2672 0.6797 0.5000
Tb 0.7328 0.3203 0.5000
Tb 0.7672 0.8203 0.0000
Pm 0.0000 0.0000 0.0000
Pm 0.5000 0.5000 0.5000
Nd 0.0000 0.5000 0.0000
Nd 0.5000 0.0000 0.5000
Y 0.2306 0.3476 0.5000
Y 0.2694 0.8476 0.0000
Y 0.7306 0.1524 0.0000
Y 0.7694 0.6524 0.5000



Entry 3:
HoPuAu: computed powder X-ray diffraction pattern (CuKα), based on DFT lattice parameters and positions (GGA-PBE).

Peak list (10 most intense, 2θ from 10° to 80°, in order of rising 2θ)
two_theta, intensity
26.57, 71.2
27.39, 22.8
29.18, 23.9
29.36, 29.6
32.53, 71.7
36.87, 97.6
37.48, 100.0
38.20, 63.5
41.96, 23.5
61.09, 22.4

Atomic structure:
Cell lengths 6.5609, 7.8215, 6.7231 Å; angles 90.00, 111.98, 90.00 degrees
Positions (direct):
Ho 0.0000 0.2448 0.0000
Ho 0.0000 0.7552 0.0000
Ho 0.5000 0.2552 0.0000
Ho 0.5000 0.7448 0.0000
Pu 0.0000 0.3238 0.5000
Pu 0.0000 0.6762 0.5000
Pu 0.5000 0.1762 0.5000
Pu 0.5000 0.8238 0.5000
Au 0.1704 0.0000 0.7448
Au 0.3296 0.5000 0.2552
Au 0.6704 0.5000 0.7448
Au 0.8296 0.0000 0.2552



Entry 4:
P2AuS2: computed powder X-ray diffraction pattern (CuKα), based on DFT lattice parameters and positions (GGA-PBE).

Peak list (10 most intense, 2θ from 10° to 80°, in order of rising 2θ)
two_theta, intensity
13.82, 100.0
18.24, 21.3
20.02, 26.0
23.50, 19.3
24.84, 25.8
25.57, 21.5
28.76, 20.5
28.91, 17.0
29.36, 21.3
34.03, 15.3

Atomic structure:
Cell lengths 3.9993, 5.1969, 6.6733 Å; angles 101.56, 97.76, 105.05 degrees
Positions (direct):
P 0.0000 0.0000 0.0000
P 0.3398 0.1492 0.3158
Au 0.4309 0.7298 0.0469
S 0.0386 0.2785 0.8285
S 0.6352 0.5346 0.3479



Entry 5:
RbCa2Se2: computed powder X-ray diffraction pattern (CuKα), based on DFT lattice parameters and positions (GGA-PBE).

Peak list (10 most intense, 2θ from 10° to 80°, in order of rising 2θ)
two_theta, intensity
14.75, 50.9
27.14, 100.0
27.46, 76.7
29.74, 29.0
32.26, 95.4
42.86, 43.2
44.44, 37.7
46.26, 33.5
51.21, 45.9
71.46, 38.0

Atomic structure:
Cell lengths 5.5505, 5.5505, 12.0156 Å; angles 90.00, 90.00, 90.00 degrees
Positions (direct):
Rb 0.0000 0.0000 0.0000
Rb 0.5000 0.5000 0.5000
Ca 0.0000 0.0000 0.3193
Ca 0.0000 0.0000 0.6807
Ca 0.5000 0.5000 0.1807
Ca 0.5000 0.5000 0.8193
Se 0.0000 0.5000 0.2500
Se 0.0000 0.5000 0.7500
Se 0.5000 0.0000 0.2500
Se 0.5000 0.0000 0.7500



Entry 6:
RbPPdO4: computed powder X-ray diffraction pattern (CuKα), based on DFT lattice parameters and positions (GGA-PBE).

Peak list (10 most intense, 2θ from 10° to 80°, in order of rising 2θ)
two_theta, intensity
18.20, 69.5
29.94, 100.0
35.26, 30.5
42.85, 9.9
46.92, 23.2
53.16, 36.2
56.66, 13.2
62.21, 15.9
65.41, 11.3
70.57, 14.5

Atomic structure:
Cell lengths 5.9687, 5.9687, 5.9687 Å; angles 60.00, 60.00, 60.00 degrees
Positions (direct):
Rb 0.0000 0.0000 0.0000
P 0.5000 0.5000 0.5000
Pd 0.7500 0.7500 0.7500
O 0.1826 0.6058 0.6058
O 0.6058 0.1826 0.6058
O 0.6058 0.6058 0.1826
O 0.6058 0.6058 0.6058